Starting from the PBE geometry in the Materials Project, the PXRD pattern of K3ScH6O6 was simulated for λ = 1.5418 Å (Cu Kα).

Top 10 peaks for 5 to 70 degrees two-theta, by angle:
index, 2θ (°), I/Imax
1 1 1, 15.8, 100
1 1 2, 24.1, 46
1 3 -1, 25.6, 35
2 2 1, 26.1, 22
2 0 -2, 27.7, 29
3 1 0, 29.2, 14
0 2 3, 34.6, 13
2 4 1, 36.3, 16
4 2 -1, 41.9, 18
0 6 0, 43.8, 16

Atomic structure:
Unit cell a=9.480 b=12.395 c=8.561 alpha=90.00 beta=91.46 gamma=90.00
Space group C2/c (No. 15)
Symmetry-distinct sites (fractional):
1 K 0.000 0.104 0.250 [4 per cell]
2 K 0.165 0.423 0.383 [8 per cell]
3 Sc 0.250 0.250 0.000 [4 per cell]
4 H 0.022 0.112 0.788 [8 per cell]
5 H 0.022 0.232 0.516 [8 per cell]
6 H 0.034 0.317 0.729 [8 per cell]
7 O 0.028 0.279 0.059 [8 per cell]
8 O 0.198 0.087 0.990 [8 per cell]
9 O 0.242 0.381 0.849 [8 per cell]